The following is a calculated powder XRD pattern of UAlCrO6. It was derived from a GGA+U-relaxed structure, using λ = 1.5418 Å (Cu Kα).

The 6 most intense peaks (10 to 90 degrees two-theta), in order of falling intensity:
hkl 1 0 2, 2θ = 28.23°, I = 100
hkl 1 0 0, 2θ = 20.49°, I = 48
hkl 1 1 4, 2θ = 54.01°, I = 28
hkl 2 0 2, 2θ = 46.27°, I = 26
hkl 1 1 0, 2θ = 35.89°, I = 25
hkl 2 1 2, 2θ = 59.90°, I = 25

Atomic structure:
Lattice parameters (Å, degrees): 5.005 5.005 9.244 90.00 90.00 120.00
Fractional coordinates of all 18 atoms:
U  0.000  0.000  0.000
U  0.000  0.000  0.500
Al  0.333  0.667  0.250
Al  0.667  0.333  0.750
Cr  0.333  0.667  0.750
Cr  0.667  0.333  0.250
O  0.013  0.349  0.134
O  0.013  0.665  0.366
O  0.335  0.349  0.366
O  0.335  0.987  0.134
O  0.349  0.013  0.634
O  0.349  0.335  0.866
O  0.651  0.665  0.134
O  0.651  0.987  0.366
O  0.665  0.013  0.866
O  0.665  0.651  0.634
O  0.987  0.335  0.634
O  0.987  0.651  0.866